# 1
The following is a computed powder XRD pattern of MgV3CrO10. It was derived from DFT lattice parameters and positions (PBE+U), using Cu Kα (weighted mean of Kα1 and Kα2).
Neutral-atom scattering factors, no anomalous dispersion.

Atomic structure:
```
MgV3CrO10
1.0
6.4814 0.0000 0.0000
0.0000 6.5709 0.0000
0.0000 0.0000 5.4467
Mg V Cr O
1 3 1 10
Cartesian
0.0000 0.0000 0.0000
0.0000 3.2854 3.4644
3.2407 0.0000 2.1840
3.2407 3.2854 2.8621
0.0000 0.0000 2.7153
0.0000 1.3510 3.9338
0.0000 3.2854 1.8466
0.0000 5.2199 3.9338
1.3303 0.0000 1.5164
1.7965 3.2854 3.9192
3.2407 0.0000 3.8229
3.2407 1.9328 1.8243
3.2407 4.6380 1.8243
4.6850 3.2854 3.9192
5.1512 0.0000 1.5164
```

Peak list (10 most intense, 2θ = 10–90°, low angle first)
| d/Å | Position (°2θ) | I_rel |
| --- | --- | --- |
| 5.447 | 16.27 | 100 |
| 4.193 | 21.19 | 24 |
| 4.170 | 21.31 | 18 |
| 3.285 | 27.14 | 50 |
| 3.241 | 27.52 | 47 |
| 2.813 | 31.81 | 22 |
| 2.785 | 32.14 | 27 |
| 2.514 | 35.72 | 13 |
| 2.124 | 42.55 | 13 |
| 1.760 | 51.94 | 16 |

# 2
The following is a computed powder XRD pattern of VCoO4. It was derived from DFT lattice parameters and positions (PBE+U), using Cu Kα (weighted mean of Kα1 and Kα2).
Neutral-atom scattering factors, no anomalous dispersion.

Atomic structure:
```
VCoO4
1.0
2.7534 -4.1548 0.0000
2.7534 4.1548 0.0000
0.0000 0.0000 5.8630
V Co O
2 2 8
Cartesian
2.7534 2.9247 4.3973
2.7534 -2.9247 1.4658
2.7534 0.0000 0.0000
2.7534 0.0000 2.9315
1.4896 0.1538 1.4658
2.7534 1.8872 3.0706
2.7534 1.8872 5.7239
1.4896 -0.1538 4.3973
4.0172 0.1538 1.4658
2.7534 -1.8872 0.1391
2.7534 -1.8872 2.7924
4.0172 -0.1538 4.3973
```

Peak list (10 most intense, 2θ = 10–90°, low angle first)
| d/Å | Position (°2θ) | I_rel |
| --- | --- | --- |
| 4.590 | 19.34 | 33 |
| 4.155 | 21.39 | 17 |
| 3.614 | 24.63 | 43 |
| 3.390 | 26.29 | 27 |
| 2.753 | 32.52 | 33 |
| 2.472 | 36.34 | 100 |
| 1.807 | 50.50 | 16 |
| 1.695 | 54.11 | 11 |
| 1.529 | 60.54 | 23 |
| 1.443 | 64.57 | 27 |